1.
Diffraction record for CdFeF5. The PXRD pattern is theoretical, not measured: it uses a DFT-relaxed cell (GGA+U, Alexandria) and Cu Ka.

Cell lengths 3.8888, 6.6709, 8.1793 Å; angles 90.00, 90.00, 90.00 degrees
Space group Immm (No. 71)
Symmetry-distinct sites (fractional):
1 Cd 0.0000 0.0000 0.0000
2 Fe 0.0000 0.0000 0.5000
3 F 0.0000 0.0000 0.2650
4 F 0.0000 0.2966 0.5000
5 F 0.0000 0.5000 0.0000

Principal peaks in the range 15 to 90 degrees two-theta, low angle first:
d_spacing, 2θ/deg, I (rel.), hkl
4.090, 21.73, 94, 0 0 2
3.360, 26.53, 100, 1 1 0
3.335, 26.73, 60, 0 2 0
2.596, 34.55, 32, 1 1 2
2.419, 37.18, 26, 1 2 1
2.045, 44.30, 25, 0 0 4
1.930, 47.08, 29, 1 3 0
1.746, 52.39, 46, 1 1 4

2.
Diffraction record for Cd2FeF6. The PXRD pattern is theoretical, not measured: it uses a DFT-relaxed cell (GGA+U, Alexandria) and Cu Ka.

Cell lengths 5.0605, 5.0605, 10.4566 Å; angles 90.00, 90.00, 90.00 degrees
Space group P4_2/mnm (No. 136)
Symmetry-distinct sites (fractional):
1 Cd 0.0000 0.0000 0.1660
2 Fe 0.0000 0.0000 0.5000
3 F 0.1883 0.1883 0.3419
4 F 0.2108 0.2108 0.0000

Principal peaks in the range 15 to 90 degrees two-theta, low angle first:
d_spacing, 2θ/deg, I (rel.), hkl
3.578, 24.88, 100, 1 1 0
2.871, 31.16, 75, 1 0 3
2.530, 35.48, 17, 2 0 0
1.898, 47.93, 71, 2 1 3
1.789, 51.05, 18, 2 2 0
1.600, 57.60, 13, 3 1 0
1.567, 58.95, 16, 1 1 6
1.518, 61.03, 23, 3 0 3